Na3GaP2H2O9: simulated X-ray powder pattern (copper Kα), based on a crystal structure in the Materials Project, relaxed with GGA-PBE.
Kinematic intensities with the Lorentz-polarization factor, no thermal factor.

Crystal structure
Cell: 8.598 8.598 7.145 Å, 95.97 95.97 49.80°
Element x y z (fractional)
Na  0.000  0.500  0.500
Na  0.236  0.764  0.000
Na  0.389  0.389  0.293
Na  0.500  0.000  0.500
Na  0.611  0.611  0.707
Na  0.764  0.236  0.000
Ga  0.000  0.500  0.000
Ga  0.500  0.000  0.000
P  0.118  0.118  0.703
P  0.379  0.379  0.773
P  0.621  0.621  0.227
P  0.882  0.882  0.297
H  0.059  0.059  0.396
H  0.188  0.188  0.177
H  0.812  0.812  0.823
H  0.941  0.941  0.604
O  0.009  0.653  0.234
O  0.026  0.026  0.760
O  0.117  0.117  0.478
O  0.175  0.530  0.883
O  0.242  0.242  0.118
O  0.333  0.333  0.572
O  0.347  0.991  0.766
O  0.470  0.825  0.117
O  0.477  0.477  0.782
O  0.523  0.523  0.218
O  0.530  0.175  0.883
O  0.653  0.009  0.234
O  0.667  0.667  0.428
O  0.758  0.758  0.882
O  0.825  0.470  0.117
O  0.883  0.883  0.522
O  0.974  0.974  0.240
O  0.991  0.347  0.766

Most intense lines, 5° ≤ 2θ ≤ 70°, by intensity:
d 7.747, I = 100.0; d 7.098, I = 66.0; d 2.534, I = 62.9; d 2.645, I = 53.3; d 3.225, I = 50.2; d 4.939, I = 46.9; d 3.279, I = 44.2; d 3.095, I = 37.2; d 2.780, I = 33.1; d 1.530, I = 28.5; d 1.604, I = 24.1; d 1.810, I = 23.9